For AcHo4Tm8, a cell relaxed with PBE gives the computed XRD peak list in this record (Cu Kα).

Most intense lines, 10 to 80 degrees two-theta, by intensity:
2theta	I/Imax
31.45	100
31.09	87
34.33	84
32.54	48
31.66	39
35.82	35
62.45	23
53.62	22
39.92	21
52.68	20

Structure:
```
AcHo4Tm8
1.0
5.0196 -3.4747 0.0000
5.0196 3.4747 0.0000
-3.0790 0.0000 11.8878
Ac Ho Tm
1 4 8
Direct
0.0000 0.0000 0.0000
0.2569 0.7431 0.5000
0.2857 0.2857 0.6465
0.7143 0.7143 0.3535
0.7431 0.2569 0.5000
0.1741 0.6484 0.2123
0.1949 0.1949 0.3483
0.3476 0.3476 0.9383
0.3516 0.8259 0.7877
0.6484 0.1741 0.2123
0.6524 0.6524 0.0617
0.8051 0.8051 0.6517
0.8259 0.3516 0.7877
```